Record 1
Computed powder diffraction line list
Compound: CdCoBr4
Radiation: Cu Kα (λ = 1.5418 Å)
Structure: a structure optimized by DFT (GGA-PBE)
Peak positions follow from Bragg's law for the DFT cell and can differ from measured ones.

Top 10 peaks for 2θ = 10–80°, in order of rising 2θ:
16.25 deg, rel. 68.7
23.65 deg, rel. 59.4
25.99 deg, rel. 100.0
26.97 deg, rel. 20.0
27.85 deg, rel. 18.4
35.33 deg, rel. 20.3
40.07 deg, rel. 26.6
44.46 deg, rel. 55.4
48.39 deg, rel. 30.7
52.00 deg, rel. 20.9

Crystal structure
```
CdCoBr4
1.0
4.825 -4.872 0.000
4.825 4.872 0.000
0.000 0.000 9.000
Cd Co Br
2 2 8
direct
0.168 0.832 0.750 Cd
0.832 0.168 0.250 Cd
0.341 0.341 0.000 Co
0.659 0.659 0.500 Co
0.204 0.222 0.773 Br
0.222 0.204 0.227 Br
0.284 0.687 0.006 Br
0.313 0.716 0.494 Br
0.687 0.284 0.994 Br
0.716 0.313 0.506 Br
0.778 0.796 0.727 Br
0.796 0.778 0.273 Br
```

Record 2
Computed powder diffraction line list
Compound: Tb4Pm2Pr5
Radiation: Cu Kα (λ = 1.5418 Å)
Structure: a structure optimized by DFT (GGA-PBE)
Peak positions follow from Bragg's law for the DFT cell and can differ from measured ones.

Top 10 peaks for 2θ = 10–80°, in order of rising 2θ:
29.43 deg, rel. 24.6
29.80 deg, rel. 23.5
30.31 deg, rel. 92.2
31.30 deg, rel. 100.0
32.37 deg, rel. 38.6
33.36 deg, rel. 24.4
46.72 deg, rel. 15.4
54.46 deg, rel. 18.9
60.47 deg, rel. 17.8
61.04 deg, rel. 37.5

Crystal structure
```
Tb4Pm2Pr5
1.0
9.000 -1.791 0.000
9.000 1.791 0.000
-0.818 0.000 11.776
Tb Pm Pr
4 2 5
direct
0.033 0.033 0.260 Tb
0.360 0.360 0.202 Tb
0.640 0.640 0.798 Tb
0.967 0.967 0.740 Tb
0.284 0.284 0.647 Pm
0.716 0.716 0.353 Pm
0.096 0.096 0.536 Pr
0.176 0.176 0.071 Pr
0.500 0.500 0.000 Pr
0.824 0.824 0.929 Pr
0.904 0.904 0.464 Pr
```

Record 3
Computed powder diffraction line list
Compound: CdAsPd
Radiation: Cu Kα (λ = 1.5418 Å)
Structure: a structure optimized by DFT (GGA-PBE)
Peak positions follow from Bragg's law for the DFT cell and can differ from measured ones.

Top 10 peaks for 2θ = 10–80°, in order of rising 2θ:
13.90 deg, rel. 22.7
29.49 deg, rel. 11.2
32.73 deg, rel. 53.6
41.12 deg, rel. 100.0
42.05 deg, rel. 27.1
42.33 deg, rel. 26.6
42.56 deg, rel. 13.8
61.19 deg, rel. 17.3
76.20 deg, rel. 15.6
76.58 deg, rel. 15.3

Crystal structure
```
CdAsPd
1.0
12.744 0.000 0.000
0.000 2.149 2.135
0.000 -2.149 2.135
Cd As Pd
2 2 2
direct
0.149 0.000 0.000 Cd
0.851 0.000 0.000 Cd
0.368 0.004 0.004 As
0.632 0.004 0.004 As
0.000 0.500 0.500 Pd
0.500 0.504 0.504 Pd
```

Record 4
Computed powder diffraction line list
Compound: InAg4Au3
Radiation: Cu Kα (λ = 1.5418 Å)
Structure: a structure optimized by DFT (GGA-PBE)
Peak positions follow from Bragg's law for the DFT cell and can differ from measured ones.

Top 10 peaks for 2θ = 10–80°, in order of rising 2θ:
19.47 deg, rel. 16.6
36.46 deg, rel. 60.7
36.60 deg, rel. 60.0
39.08 deg, rel. 100.0
39.22 deg, rel. 99.0
52.62 deg, rel. 41.7
60.33 deg, rel. 13.7
67.27 deg, rel. 19.7
67.58 deg, rel. 58.4
72.70 deg, rel. 23.6

Crystal structure
```
InAg4Au3
1.0
6.602 -2.455 0.000
6.602 2.455 0.000
-1.817 0.000 4.582
In Ag Au
1 4 3
direct
0.000 0.000 0.000 In
0.126 0.126 0.627 Ag
0.251 0.251 0.252 Ag
0.749 0.749 0.748 Ag
0.874 0.874 0.373 Ag
0.373 0.373 0.873 Au
0.500 0.500 0.500 Au
0.627 0.627 0.127 Au
```

Record 5
Computed powder diffraction line list
Compound: ErTm3Os
Radiation: Cu Kα (λ = 1.5418 Å)
Structure: a structure optimized by DFT (GGA-PBE)
Peak positions follow from Bragg's law for the DFT cell and can differ from measured ones.

Top 10 peaks for 2θ = 10–80°, in order of rising 2θ:
15.38 deg, rel. 31.2
20.83 deg, rel. 39.7
31.04 deg, rel. 100.0
33.54 deg, rel. 88.3
36.05 deg, rel. 60.7
39.82 deg, rel. 48.7
40.65 deg, rel. 32.9
42.39 deg, rel. 29.6
51.10 deg, rel. 27.6
55.11 deg, rel. 30.8

Crystal structure
```
ErTm3Os
1.0
5.782 -4.261 0.000
5.782 4.261 0.000
-5.273 0.000 5.767
Er Tm Os
2 6 2
direct
0.056 0.056 0.352 Er
0.944 0.944 0.648 Er
0.057 0.444 0.203 Tm
0.444 0.057 0.203 Tm
0.444 0.444 0.741 Tm
0.556 0.556 0.259 Tm
0.556 0.943 0.797 Tm
0.943 0.556 0.797 Tm
0.251 0.251 0.876 Os
0.749 0.749 0.124 Os
```

Record 6
Computed powder diffraction line list
Compound: Pm7Y2
Radiation: Cu Kα (λ = 1.5418 Å)
Structure: a structure optimized by DFT (GGA-PBE)
Peak positions follow from Bragg's law for the DFT cell and can differ from measured ones.

Top 10 peaks for 2θ = 10–80°, in order of rising 2θ:
16.26 deg, rel. 0.7
19.09 deg, rel. 0.9
19.97 deg, rel. 0.7
28.35 deg, rel. 0.7
30.12 deg, rel. 100.0
34.92 deg, rel. 50.5
50.22 deg, rel. 36.0
59.68 deg, rel. 42.6
62.63 deg, rel. 12.3
73.76 deg, rel. 5.7

Crystal structure
```
Pm7Y2
1.0
6.296 0.000 0.000
-3.148 5.453 0.000
0.000 0.000 8.891
Pm Y
7 2
direct
0.000 0.000 0.000 Pm
0.000 0.333 0.668 Pm
0.000 0.667 0.332 Pm
0.333 0.000 0.668 Pm
0.333 0.333 0.332 Pm
0.667 0.000 0.332 Pm
0.667 0.667 0.668 Pm
0.333 0.667 0.000 Y
0.667 0.333 0.000 Y
```

Record 7
Computed powder diffraction line list
Compound: Ba8InIrAu2
Radiation: Cu Kα (λ = 1.5418 Å)
Structure: a structure optimized by DFT (GGA-PBE)
Peak positions follow from Bragg's law for the DFT cell and can differ from measured ones.

Top 10 peaks for 2θ = 10–80°, in order of rising 2θ:
16.03 deg, rel. 77.0
16.28 deg, rel. 77.6
24.00 deg, rel. 100.0
24.17 deg, rel. 63.0
31.39 deg, rel. 96.4
31.67 deg, rel. 71.3
32.38 deg, rel. 42.2
35.94 deg, rel. 46.8
38.85 deg, rel. 82.6
39.59 deg, rel. 49.4

Crystal structure
```
Ba8InIrAu2
1.0
7.672 0.000 0.000
0.000 9.996 0.000
-0.123 0.000 7.849
Ba In Ir Au
8 1 1 2
direct
0.218 0.220 0.172 Ba
0.218 0.780 0.172 Ba
0.261 0.000 0.691 Ba
0.281 0.500 0.661 Ba
0.719 0.500 0.339 Ba
0.739 0.000 0.309 Ba
0.782 0.220 0.828 Ba
0.782 0.780 0.828 Ba
0.000 0.500 0.000 In
0.000 0.000 0.000 Ir
0.500 0.245 0.500 Au
0.500 0.755 0.500 Au
```

Record 8
Computed powder diffraction line list
Compound: Li3Sc3GeSe8
Radiation: Cu Kα (λ = 1.5418 Å)
Structure: a structure optimized by DFT (GGA-PBE)
Peak positions follow from Bragg's law for the DFT cell and can differ from measured ones.

Top 10 peaks for 2θ = 10–80°, in order of rising 2θ:
13.68 deg, rel. 23.8
27.56 deg, rel. 11.5
28.41 deg, rel. 32.8
32.68 deg, rel. 100.0
46.34 deg, rel. 35.6
47.43 deg, rel. 34.0
58.79 deg, rel. 17.3
68.48 deg, rel. 10.6
77.15 deg, rel. 14.4
78.78 deg, rel. 14.4

Crystal structure
```
Li3Sc3GeSe8
1.0
3.833 2.213 6.472
-3.833 2.213 6.472
0.000 -4.426 6.472
Li Sc Ge Se
3 3 1 8
direct
0.000 0.500 0.500 Li
0.500 0.000 0.500 Li
0.500 0.500 0.000 Li
0.000 0.000 0.500 Sc
0.000 0.500 0.000 Sc
0.500 0.000 0.000 Sc
0.500 0.500 0.500 Ge
0.247 0.247 0.247 Se
0.257 0.739 0.739 Se
0.261 0.261 0.743 Se
0.261 0.743 0.261 Se
0.739 0.257 0.739 Se
0.739 0.739 0.257 Se
0.743 0.261 0.261 Se
0.753 0.753 0.753 Se
```